For TlI4O12, a cell relaxed with GGA-PBE gives the calculated PXRD pattern in this record (a wavelength of 1.5418 Å).
Peak positions follow from Bragg's law for the DFT cell and can differ from measured ones.

The 10 most intense peaks (2θ = 10–80°), sorted by position:
two_theta	d_spacing	intensity
15.6	5.685	57
22.1	4.020	41
27.2	3.282	25
31.5	2.843	100
42.0	2.149	21
45.1	2.010	33
50.8	1.798	16
56.0	1.641	45
65.7	1.421	19
74.7	1.271	18

Cell and atoms:
Cell lengths 6.963, 6.963, 6.963 Å; angles 109.47, 109.47, 109.47 degrees
Atoms (fractional coordinates):
1 Tl 0.000 0.000 0.000
2 I 0.000 0.000 0.500
3 I 0.000 0.500 0.000
4 I 0.500 0.000 0.000
5 I 0.500 0.500 0.500
6 O 0.063 0.271 0.792
7 O 0.208 0.479 0.271
8 O 0.208 0.937 0.729
9 O 0.271 0.208 0.479
10 O 0.271 0.792 0.063
11 O 0.479 0.271 0.208
12 O 0.521 0.729 0.792
13 O 0.729 0.208 0.937
14 O 0.729 0.792 0.521
15 O 0.792 0.063 0.271
16 O 0.792 0.521 0.729
17 O 0.937 0.729 0.208

---

For LaTmMgAg, a cell relaxed with GGA-PBE gives the calculated PXRD pattern in this record (a wavelength of 1.5418 Å).
Peak positions follow from Bragg's law for the DFT cell and can differ from measured ones.

The 10 most intense peaks (2θ = 10–80°), sorted by position:
two_theta	d_spacing	intensity
11.7	7.566	15
23.6	3.775	19
33.6	2.669	100
41.4	2.179	7
48.1	1.892	5
48.3	1.885	12
54.4	1.687	6
60.0	1.543	10
60.1	1.540	24
70.5	1.335	6

Cell and atoms:
Cell lengths 3.771, 3.771, 7.566 Å; angles 90.00, 90.00, 90.00 degrees
Atoms (fractional coordinates):
1 La 0.000 0.000 0.000
2 Tm 0.000 0.000 0.479
3 Mg 0.500 0.500 0.721
4 Ag 0.500 0.500 0.277

---

For Pr3Ga3Pd2, a cell relaxed with GGA-PBE gives the calculated PXRD pattern in this record (a wavelength of 1.5418 Å).
Peak positions follow from Bragg's law for the DFT cell and can differ from measured ones.

The 10 most intense peaks (2θ = 10–80°), sorted by position:
two_theta	d_spacing	intensity
24.2	3.675	16
31.6	2.829	100
32.7	2.737	60
34.1	2.629	21
35.1	2.555	26
36.8	2.443	34
38.5	2.338	23
39.4	2.286	47
40.0	2.251	45
70.1	1.342	16

Cell and atoms:
Cell lengths 5.734, 5.734, 15.330 Å; angles 90.00, 90.00, 133.00 degrees
Atoms (fractional coordinates):
1 Pr 0.096 0.904 0.607
2 Pr 0.096 0.904 0.893
3 Pr 0.377 0.623 0.750
4 Pr 0.623 0.377 0.250
5 Pr 0.904 0.096 0.107
6 Pr 0.904 0.096 0.393
7 Ga 0.331 0.669 0.250
8 Ga 0.385 0.615 0.539
9 Ga 0.385 0.615 0.961
10 Ga 0.615 0.385 0.039
11 Ga 0.615 0.385 0.461
12 Ga 0.669 0.331 0.750
13 Pd 0.197 0.803 0.102
14 Pd 0.197 0.803 0.398
15 Pd 0.803 0.197 0.602
16 Pd 0.803 0.197 0.898

---

For NaLiGa2O4, a cell relaxed with GGA-PBE gives the calculated PXRD pattern in this record (a wavelength of 1.5418 Å).
Peak positions follow from Bragg's law for the DFT cell and can differ from measured ones.

The 10 most intense peaks (2θ = 10–80°), sorted by position:
two_theta	d_spacing	intensity
17.8	4.973	61
28.4	3.140	29
33.8	2.655	100
44.7	2.027	13
46.6	1.949	18
55.5	1.656	33
58.8	1.570	14
63.5	1.466	14
69.6	1.351	21
71.0	1.328	12

Cell and atoms:
Cell lengths 5.881, 5.881, 5.881 Å; angles 135.65, 135.65, 64.53 degrees
Atoms (fractional coordinates):
1 Na 0.000 0.000 0.000
2 Li 0.500 0.500 0.000
3 Ga 0.250 0.750 0.500
4 Ga 0.750 0.250 0.500
5 O 0.124 0.124 0.537
6 O 0.413 0.876 0.000
7 O 0.587 0.587 0.463
8 O 0.876 0.413 0.000

---

For CePm2Tl5, a cell relaxed with GGA-PBE gives the calculated PXRD pattern in this record (a wavelength of 1.5418 Å).
Peak positions follow from Bragg's law for the DFT cell and can differ from measured ones.

The 10 most intense peaks (2θ = 10–80°), sorted by position:
two_theta	d_spacing	intensity
31.6	2.834	57
33.2	2.702	100
45.3	2.004	21
49.8	1.830	8
57.2	1.610	43
60.2	1.537	18
65.9	1.417	7
69.6	1.351	12
74.9	1.267	10
75.8	1.255	9

Cell and atoms:
Cell lengths 6.746, 6.746, 6.746 Å; angles 107.11, 107.11, 114.30 degrees
Atoms (fractional coordinates):
1 Ce 0.000 0.000 0.000
2 Pm 0.499 0.999 0.500
3 Pm 0.999 0.499 0.500
4 Tl 0.499 0.499 0.000
5 Tl 0.500 0.500 0.500
6 Tl 0.500 0.999 0.000
7 Tl 0.999 0.500 0.000
8 Tl 0.999 0.999 0.500

---

For Na2Tb2TaS6, a cell relaxed with GGA-PBE gives the calculated PXRD pattern in this record (a wavelength of 1.5418 Å).
Peak positions follow from Bragg's law for the DFT cell and can differ from measured ones.

The 10 most intense peaks (2θ = 10–80°), sorted by position:
two_theta	d_spacing	intensity
13.0	6.800	100
27.0	3.302	14
27.3	3.269	28
28.3	3.152	16
32.0	2.801	27
32.2	2.776	53
41.3	2.187	14
44.8	2.023	29
47.2	1.925	17
49.2	1.852	14

Cell and atoms:
Cell lengths 6.626, 6.626, 7.163 Å; angles 99.12, 99.12, 119.36 degrees
Atoms (fractional coordinates):
1 Na 0.170 0.830 0.000
2 Na 0.830 0.170 0.000
3 Tb 0.335 0.665 0.500
4 Tb 0.665 0.335 0.500
5 Ta 0.000 0.000 0.500
6 S 0.072 0.381 0.718
7 S 0.231 0.231 0.282
8 S 0.381 0.072 0.718
9 S 0.619 0.928 0.282
10 S 0.769 0.769 0.718
11 S 0.928 0.619 0.282

---

For Ga2CuSb2Au7, a cell relaxed with GGA-PBE gives the calculated PXRD pattern in this record (a wavelength of 1.5418 Å).
Peak positions follow from Bragg's law for the DFT cell and can differ from measured ones.

The 10 most intense peaks (2θ = 10–80°), sorted by position:
two_theta	d_spacing	intensity
24.3	3.666	51
31.7	2.819	74
33.5	2.673	63
35.2	2.549	89
36.3	2.477	87
39.9	2.261	43
40.3	2.237	85
43.2	2.095	60
44.1	2.052	50
44.5	2.034	100

Cell and atoms:
Cell lengths 4.093, 4.093, 14.675 Å; angles 91.67, 91.67, 89.14 degrees
Atoms (fractional coordinates):
1 Ga 0.026 0.026 0.257
2 Ga 0.974 0.974 0.743
3 Cu 0.500 0.500 0.000
4 Sb 0.350 0.350 0.604
5 Sb 0.650 0.650 0.396
6 Au 0.000 0.000 0.000
7 Au 0.013 0.514 0.140
8 Au 0.169 0.169 0.424
9 Au 0.486 0.987 0.860
10 Au 0.514 0.013 0.140
11 Au 0.831 0.831 0.576
12 Au 0.987 0.486 0.860

---

For Pm2Tc3C4, a cell relaxed with GGA-PBE gives the calculated PXRD pattern in this record (a wavelength of 1.5418 Å).
Peak positions follow from Bragg's law for the DFT cell and can differ from measured ones.

The 10 most intense peaks (2θ = 10–80°), sorted by position:
two_theta	d_spacing	intensity
16.4	5.393	17
26.2	3.403	31
31.1	2.879	100
37.4	2.404	62
41.2	2.194	32
42.9	2.110	47
50.8	1.797	20
55.3	1.661	20
63.5	1.464	18
64.7	1.440	26

Cell and atoms:
Cell lengths 6.951, 6.112, 5.244 Å; angles 75.05, 58.15, 46.79 degrees
Atoms (fractional coordinates):
1 Pm 0.168 0.168 0.832
2 Pm 0.832 0.832 0.168
3 Tc 0.000 0.000 0.500
4 Tc 0.500 0.500 0.000
5 Tc 0.500 0.500 0.500
6 C 0.192 0.548 0.452
7 C 0.452 0.808 0.192
8 C 0.548 0.192 0.808
9 C 0.808 0.452 0.548

---

For Nd2Sm6In3, a cell relaxed with GGA-PBE gives the calculated PXRD pattern in this record (a wavelength of 1.5418 Å).
Peak positions follow from Bragg's law for the DFT cell and can differ from measured ones.

The 10 most intense peaks (2θ = 10–80°), sorted by position:
two_theta	d_spacing	intensity
26.6	3.356	15
29.3	3.047	100
31.3	2.855	24
34.6	2.594	51
34.8	2.581	31
39.1	2.305	48
50.9	1.794	25
53.3	1.719	18
56.4	1.630	16
64.9	1.437	21

Cell and atoms:
Cell lengths 17.437, 17.437, 17.437 Å; angles 164.81, 164.81, 21.55 degrees
Atoms (fractional coordinates):
1 Nd 0.043 0.043 0.000
2 Nd 0.957 0.957 0.000
3 Sm 0.128 0.628 0.500
4 Sm 0.213 0.213 0.000
5 Sm 0.372 0.872 0.500
6 Sm 0.628 0.128 0.500
7 Sm 0.787 0.787 0.000
8 Sm 0.872 0.372 0.500
9 In 0.306 0.306 0.000
10 In 0.500 0.500 0.000
11 In 0.694 0.694 0.000

---

For Sr2AcGe4, a cell relaxed with GGA-PBE gives the calculated PXRD pattern in this record (a wavelength of 1.5418 Å).
Peak positions follow from Bragg's law for the DFT cell and can differ from measured ones.

The 10 most intense peaks (2θ = 10–80°), sorted by position:
two_theta	d_spacing	intensity
27.6	3.236	11
29.8	3.002	100
33.9	2.647	27
38.1	2.363	19
38.8	2.322	22
42.6	2.123	14
52.8	1.733	13
55.5	1.656	18
58.4	1.579	11
63.7	1.460	11

Cell and atoms:
Cell lengths 10.213, 10.213, 10.213 Å; angles 156.01, 153.24, 36.24 degrees
Atoms (fractional coordinates):
1 Sr 0.182 0.182 0.000
2 Sr 0.818 0.818 0.000
3 Ac 0.000 0.500 0.500
4 Ge 0.355 0.355 0.000
5 Ge 0.433 0.933 0.500
6 Ge 0.567 0.067 0.500
7 Ge 0.645 0.645 0.000

---

For KPaTeO2, a cell relaxed with GGA-PBE gives the calculated PXRD pattern in this record (a wavelength of 1.5418 Å).
Peak positions follow from Bragg's law for the DFT cell and can differ from measured ones.

The 10 most intense peaks (2θ = 10–80°), sorted by position:
two_theta	d_spacing	intensity
20.4	4.354	100
24.9	3.572	23
28.6	3.123	31
29.0	3.079	57
35.4	2.538	73
41.2	2.193	32
41.5	2.177	31
46.6	1.947	24
51.1	1.786	24
55.6	1.652	40

Cell and atoms:
Cell lengths 4.354, 4.354, 6.247 Å; angles 90.00, 90.00, 90.00 degrees
Atoms (fractional coordinates):
1 K 0.000 0.000 0.000
2 Pa 0.500 0.500 0.339
3 Te 0.500 0.500 0.825
4 O 0.000 0.500 0.310
5 O 0.500 0.000 0.310

---

For Al4Ag3, a cell relaxed with GGA-PBE gives the calculated PXRD pattern in this record (a wavelength of 1.5418 Å).
Peak positions follow from Bragg's law for the DFT cell and can differ from measured ones.

The 10 most intense peaks (2θ = 10–80°), sorted by position:
two_theta	d_spacing	intensity
18.3	4.853	41
23.7	3.760	27
30.1	2.972	21
37.1	2.426	49
38.6	2.332	100
44.4	2.039	76
63.6	1.463	26
65.7	1.421	23
77.9	1.226	26
78.9	1.213	16

Cell and atoms:
Cell lengths 4.973, 4.973, 4.973 Å; angles 98.23, 98.23, 98.23 degrees
Atoms (fractional coordinates):
1 Al 0.000 0.000 0.000
2 Al 0.147 0.572 0.292
3 Al 0.292 0.147 0.572
4 Al 0.572 0.292 0.147
5 Ag 0.417 0.723 0.856
6 Ag 0.723 0.856 0.417
7 Ag 0.856 0.417 0.723